(1)
Hf4ZnC: calculated powder diffractogram (Cu Kα), based on a structure optimized by DFT (GGA-PBE).
Kinematic intensities with the Lorentz-polarization factor, no thermal factor.

Main lines, in order of falling intensity (10 to 90 degrees two-theta):
2θ/deg  d_spacing  I (rel.)
33.6  2.665  1000
37.4  2.404  915
33.0  2.711  756
37.6  2.393  601
35.8  2.508  414
28.6  3.123  297
56.8  1.620  287
61.1  1.517  227

Atomic structure:
abc: 7.391 7.391 5.633
angles: 105.14 105.14 120.44
Sites, in units of the cell vectors:
1 Hf 0.055 0.646 0.840
2 Hf 0.168 0.275 0.708
3 Hf 0.275 0.168 0.208
4 Hf 0.354 0.945 0.660
5 Hf 0.646 0.055 0.340
6 Hf 0.725 0.832 0.792
7 Hf 0.832 0.725 0.292
8 Hf 0.945 0.354 0.160
9 Zn 0.390 0.610 0.250
10 Zn 0.610 0.390 0.750
11 C 0.064 0.936 0.750
12 C 0.936 0.064 0.250

***

(2)
Mn3Ga4: calculated powder diffractogram (Cu Kα), based on a structure optimized by DFT (GGA-PBE).
Kinematic intensities with the Lorentz-polarization factor, no thermal factor.

Main lines, in order of falling intensity (10 to 90 degrees two-theta):
2θ/deg  d_spacing  I (rel.)
42.8  2.113  1000
44.1  2.055  728
63.1  1.473  235
79.3  1.209  234
40.2  2.243  220
30.3  2.947  172
78.4  1.220  152
86.8  1.122  128

Atomic structure:
abc: 7.057 7.057 7.057
angles: 34.85 34.85 34.85
Sites, in units of the cell vectors:
1 Mn 0.000 0.000 0.000
2 Mn 0.260 0.260 0.260
3 Mn 0.740 0.740 0.740
4 Ga 0.133 0.133 0.133
5 Ga 0.387 0.387 0.387
6 Ga 0.613 0.613 0.613
7 Ga 0.867 0.867 0.867

***

(3)
Al4CO4: calculated powder diffractogram (Cu Kα), based on a structure optimized by DFT (GGA-PBE).
Kinematic intensities with the Lorentz-polarization factor, no thermal factor.

Main lines, in order of falling intensity (10 to 90 degrees two-theta):
2θ/deg  d_spacing  I (rel.)
20.9  4.256  1000
22.8  3.899  803
28.4  3.141  708
38.8  2.323  586
26.9  3.319  513
63.8  1.459  426
36.7  2.447  364
61.7  1.504  356

Atomic structure:
abc: 5.188 5.188 9.181
angles: 90.00 90.00 112.22
Sites, in units of the cell vectors:
1 Al 0.063 0.937 0.500
2 Al 0.107 0.434 0.710
3 Al 0.398 0.602 0.420
4 Al 0.434 0.107 0.210
5 Al 0.566 0.893 0.710
6 Al 0.602 0.398 0.920
7 Al 0.893 0.566 0.210
8 Al 0.937 0.063 0.000
9 C 0.195 0.805 0.325
10 C 0.805 0.195 0.825
11 O 0.179 0.309 0.534
12 O 0.196 0.804 0.655
13 O 0.309 0.179 0.034
14 O 0.443 0.557 0.799
15 O 0.557 0.443 0.299
16 O 0.691 0.821 0.534
17 O 0.804 0.196 0.155
18 O 0.821 0.691 0.034